MnTlCrF6: simulated X-ray diffraction stick pattern (Cu Kα (weighted mean of Kα1 and Kα2)), based on a structure optimized by DFT (GGA+U).
Intensities are scaled so that the largest is 100.

Atomic structure:
```
MnTlCrF6
1.0
5.5536 0.0000 0.0000
-2.7768 4.8096 0.0000
0.0000 0.0000 11.9539
Mn Tl Cr F
2 2 2 12
Cartesian
0.0000 3.2064 2.9885 Mn
2.7768 1.6032 8.9654 Mn
0.0000 0.0000 0.0000 Tl
0.0000 0.0000 5.9770 Tl
0.0000 3.2064 8.9654 Cr
2.7768 1.6032 2.9885 Cr
-0.9335 1.8722 7.8758 F
-1.6221 3.0650 10.0550 F
0.9335 1.8722 10.0550 F
-0.6887 4.6818 7.8758 F
2.0881 0.1277 1.8989 F
1.1547 1.7445 4.0781 F
1.6221 3.0650 7.8758 F
0.6887 4.6818 10.0550 F
3.4655 0.1277 4.0781 F
1.8433 2.9373 1.8989 F
4.3989 1.7445 1.8989 F
3.7103 2.9373 4.0781 F
```

Main lines, by intensity (15 to 90 degrees two-theta):
23.7°, I = 100.0; 44.5°, I = 33.2; 52.6°, I = 21.9; 32.2°, I = 21.8; 40.4°, I = 20.7; 18.4°, I = 19.6; 35.4°, I = 12.7; 49.5°, I = 11.5